# 1
Starting from a GGA-PBE-relaxed structure, the powder diffraction line list of Y4Ga2O9 was calculated for Cu Ka.
Neutral-atom scattering factors, no anomalous dispersion.

```
data_Y4Ga2O9
_chemical_formula_sum 'Y16 Ga8 O36'
_cell_length_a 7.470
_cell_length_b 10.722
_cell_length_c 11.415
_cell_angle_alpha 90.00
_cell_angle_beta 108.16
_cell_angle_gamma 90.00
_symmetry_space_group_name_H-M 'P 1 21/c 1'
_symmetry_Int_Tables_number 14
_symmetry_space_group_name_Hall '-P 2ybc'
loop_
_atom_site_label
_atom_site_fract_x
_atom_site_fract_y
_atom_site_fract_z
_atom_site_occupancy
Y1 0.021 0.099 0.302 1
Y2 0.164 0.619 0.589 1
Y3 0.338 0.123 0.936 1
Y4 0.478 0.612 0.221 1
Ga1 0.210 0.178 0.625 1
Ga2 0.342 0.674 0.892 1
O1 0.066 0.235 0.473 1
O2 0.078 0.508 0.395 1
O3 0.209 0.737 0.252 1
O4 0.212 0.011 0.657 1
O5 0.237 0.239 0.274 1
O6 0.299 0.514 0.830 1
O7 0.363 0.730 0.047 1
O8 0.431 0.249 0.110 1
O9 0.436 0.510 0.607 1
```

Principal peaks in the range 2θ = 15–90°, low angle first:
two_theta  I (rel.)
26.01  17
29.14  100
29.81  64
29.95  19
34.24  14
34.82  15
48.60  17
48.77  18
49.04  16
51.85  11



# 2
Starting from a GGA-PBE-relaxed structure, the powder diffraction line list of Tb2AlCu was calculated for Cu Ka.
Neutral-atom scattering factors, no anomalous dispersion.

```
data_Tb2AlCu
_chemical_formula_sum 'Tb2 Al1 Cu1'
_cell_length_a 3.471
_cell_length_b 3.471
_cell_length_c 7.456
_cell_angle_alpha 90.00
_cell_angle_beta 90.00
_cell_angle_gamma 90.00
_symmetry_space_group_name_H-M 'P 4/m m m'
_symmetry_Int_Tables_number 123
_symmetry_space_group_name_Hall '-P 4 2'
loop_
_atom_site_label
_atom_site_fract_x
_atom_site_fract_y
_atom_site_fract_z
_atom_site_occupancy
Tb1 0.000 0.000 0.239 1
Al1 0.500 0.500 0.500 1
Cu1 0.500 0.500 0.000 1
```

Principal peaks in the range 2θ = 15–90°, low angle first:
two_theta  I (rel.)
23.87  19
25.66  32
35.33  100
36.61  46
44.18  15
48.86  9
52.74  16
62.57  18
65.09  33
74.73  11



# 3
Starting from a GGA-PBE-relaxed structure, the powder diffraction line list of BaSmCuBO5 was calculated for Cu Ka.
Neutral-atom scattering factors, no anomalous dispersion.

```
data_BaSmCuBO5
_chemical_formula_sum 'Ba2 Sm2 Cu2 B2 O10'
_cell_length_a 5.527
_cell_length_b 5.527
_cell_length_c 7.590
_cell_angle_alpha 90.00
_cell_angle_beta 90.00
_cell_angle_gamma 90.00
_symmetry_space_group_name_H-M 'P 4 b m'
_symmetry_Int_Tables_number 100
_symmetry_space_group_name_Hall 'P 4 -2ab'
loop_
_atom_site_label
_atom_site_fract_x
_atom_site_fract_y
_atom_site_fract_z
_atom_site_occupancy
Ba1 0.000 0.000 0.000 1
Sm1 0.000 0.000 0.505 1
Cu1 0.000 0.500 0.724 1
B1 0.000 0.500 0.245 1
O1 0.000 0.500 0.061 1
O2 0.156 0.344 0.332 1
O3 0.248 0.748 0.706 1
```

Principal peaks in the range 2θ = 15–90°, low angle first:
two_theta  I (rel.)
22.75  31
23.44  14
32.40  46
32.90  100
40.37  31
46.47  26
53.70  10
58.10  36
59.06  17
68.99  12



# 4
Starting from a GGA-PBE-relaxed structure, the powder diffraction line list of MgTi2 was calculated for Cu Ka.
Neutral-atom scattering factors, no anomalous dispersion.

```
data_MgTi2
_chemical_formula_sum 'Mg4 Ti8'
_cell_length_a 11.569
_cell_length_b 2.929
_cell_length_c 6.801
_cell_angle_alpha 90.00
_cell_angle_beta 103.33
_cell_angle_gamma 90.00
_symmetry_space_group_name_H-M 'C 1 2/m 1'
_symmetry_Int_Tables_number 12
_symmetry_space_group_name_Hall '-C 2y'
loop_
_atom_site_label
_atom_site_fract_x
_atom_site_fract_y
_atom_site_fract_z
_atom_site_occupancy
Mg1 0.028 0.000 0.304 1
Ti1 0.151 0.500 0.025 1
Ti2 0.208 0.500 0.647 1
```

Principal peaks in the range 2θ = 15–90°, low angle first:
two_theta  I (rel.)
15.74  56
34.46  20
35.16  52
36.85  78
37.50  56
39.01  100
40.69  88
40.91  49
62.19  29
77.87  21



# 5
Starting from a GGA-PBE-relaxed structure, the powder diffraction line list of Nd2Zr2O7 was calculated for Cu Ka.
Neutral-atom scattering factors, no anomalous dispersion.

Cell: 10.686 10.686 10.686 Å, 90.00 90.00 90.00°
Space group Fd-3m (No. 227, origin choice 2)
Unique sites:
Nd1 0.000 0.000 0.000 (multiplicity 16)
Zr1 0.000 0.000 0.500 (multiplicity 16)
O1 0.119 0.375 0.875 (multiplicity 48)
O2 0.125 0.125 0.625 (multiplicity 8)

Principal peaks in the range 2θ = 15–90°, low angle first:
two_theta  I (rel.)
27.69  6
28.94  100
33.54  29
48.17  54
57.18  43
59.97  8
70.50  8
77.94  17
80.37  11
89.95  17



# 6
Starting from a GGA-PBE-relaxed structure, the powder diffraction line list of YMg6NbO8 was calculated for Cu Ka.
Neutral-atom scattering factors, no anomalous dispersion.

```
data_YMg6NbO8
_chemical_formula_sum 'Y1 Mg6 Nb1 O8'
_cell_length_a 4.487
_cell_length_b 4.487
_cell_length_c 8.985
_cell_angle_alpha 90.00
_cell_angle_beta 90.00
_cell_angle_gamma 90.00
_symmetry_space_group_name_H-M 'P 4/m m m'
_symmetry_Int_Tables_number 123
_symmetry_space_group_name_Hall '-P 4 2'
loop_
_atom_site_label
_atom_site_fract_x
_atom_site_fract_y
_atom_site_fract_z
_atom_site_occupancy
Y1 0.000 0.000 0.000 1
Mg1 0.000 0.500 0.263 1
Mg2 0.500 0.500 0.000 1
Mg3 0.500 0.500 0.500 1
Nb1 0.000 0.000 0.500 1
O1 0.000 0.000 0.249 1
O2 0.000 0.500 0.000 1
O3 0.000 0.500 0.500 1
O4 0.500 0.500 0.250 1
```

Principal peaks in the range 2θ = 15–90°, low angle first:
two_theta  I (rel.)
19.78  54
28.11  44
34.61  39
40.18  100
45.16  24
49.75  18
58.12  60
62.02  11
69.44  19
73.01  18



# 7
Starting from a GGA-PBE-relaxed structure, the powder diffraction line list of U4SiN3 was calculated for Cu Ka.
Neutral-atom scattering factors, no anomalous dispersion.

```
data_U4SiN3
_chemical_formula_sum 'U8 Si2 N6'
_cell_length_a 5.125
_cell_length_b 5.125
_cell_length_c 9.934
_cell_angle_alpha 90.00
_cell_angle_beta 90.00
_cell_angle_gamma 90.00
_symmetry_space_group_name_H-M 'I 4/m m m'
_symmetry_Int_Tables_number 139
_symmetry_space_group_name_Hall '-I 4 2'
loop_
_atom_site_label
_atom_site_fract_x
_atom_site_fract_y
_atom_site_fract_z
_atom_site_occupancy
U1 0.000 0.000 0.231 1
U2 0.000 0.500 0.000 1
Si1 0.000 0.000 0.500 1
N1 0.000 0.000 0.000 1
N2 0.000 0.500 0.250 1
```

Principal peaks in the range 2θ = 15–90°, low angle first:
two_theta  I (rel.)
30.54  100
35.02  50
36.17  20
50.36  18
51.23  30
60.05  32
61.59  12
63.56  16
83.47  11
84.56  9



# 8
Starting from a GGA-PBE-relaxed structure, the powder diffraction line list of Ti3Co5B2 was calculated for Cu Ka.
Neutral-atom scattering factors, no anomalous dispersion.

```
data_Ti3Co5B2
_chemical_formula_sum 'Ti6 Co10 B4'
_cell_length_a 8.437
_cell_length_b 8.437
_cell_length_c 3.058
_cell_angle_alpha 90.00
_cell_angle_beta 90.00
_cell_angle_gamma 90.00
_symmetry_space_group_name_H-M 'P 4/m b m'
_symmetry_Int_Tables_number 127
_symmetry_space_group_name_Hall '-P 4 2ab'
loop_
_atom_site_label
_atom_site_fract_x
_atom_site_fract_y
_atom_site_fract_z
_atom_site_occupancy
Ti1 0.000 0.000 0.000 1
Ti2 0.175 0.325 0.000 1
Co1 0.000 0.500 0.500 1
Co2 0.071 0.779 0.500 1
B1 0.120 0.620 0.000 1
```

Principal peaks in the range 2θ = 15–90°, low angle first:
two_theta  I (rel.)
29.20  22
37.87  67
38.47  19
42.33  36
44.26  66
45.10  100
48.24  39
49.02  38
60.56  23
78.01  21